# 1
For K2AsOF5, DFT lattice parameters and positions (GGA-PBE) gives the computed XRD peak list in this record (Cu Kα (λ = 1.5418 Å)).
Kinematic intensities with the Lorentz-polarization factor, no thermal factor.

Largest 6 diffraction maxima, sorted by position, 2θ = 10–90°:
d_spacing	I (rel.)	index
4.846	100.0	1 0 1
3.010	48.6	1 1 2
2.888	18.3	2 0 0
2.481	19.1	2 1 1
2.423	17.6	2 0 2
2.042	30.1	2 2 0

Cell and atoms:
```
data_K2AsOF5
_chemical_formula_sum 'K4 As2 O2 F10'
_cell_length_a 5.776
_cell_length_b 5.776
_cell_length_c 8.909
_cell_angle_alpha 90.00
_cell_angle_beta 90.00
_cell_angle_gamma 90.00
_symmetry_space_group_name_H-M 'I 4 m m'
_symmetry_Int_Tables_number 107
_symmetry_space_group_name_Hall 'I 4 -2'
loop_
_atom_site_label
_atom_site_fract_x
_atom_site_fract_y
_atom_site_fract_z
_atom_site_occupancy
K1 0.000 0.500 0.000 1
As1 0.000 0.000 0.241 1
O1 0.000 0.000 0.051 1
F1 0.000 0.000 0.450 1
F2 0.223 0.223 0.266 1
```

# 2
For KAsPbF6, DFT lattice parameters and positions (GGA-PBE) gives the computed XRD peak list in this record (Cu Kα (λ = 1.5418 Å)).
Kinematic intensities with the Lorentz-polarization factor, no thermal factor.

Largest 6 diffraction maxima, sorted by position, 2θ = 10–90°:
d_spacing	I (rel.)	index
5.597	80.5	1 0 0
3.404	100.0	1 0 1
3.231	80.2	1 1 0
2.581	52.4	2 -1 1
2.343	59.4	0 2 1
1.897	50.5	3 -1 1

Cell and atoms:
```
data_KAsPbF6
_chemical_formula_sum 'K1 As1 Pb1 F6'
_cell_length_a 6.4627
_cell_length_b 6.4627
_cell_length_c 4.2877
_cell_angle_alpha 90.00
_cell_angle_beta 90.00
_cell_angle_gamma 120.00
_symmetry_space_group_name_H-M 'P 3'
_symmetry_Int_Tables_number 143
loop_
_symmetry_equiv_pos_as_xyz
'x,y,z'
'-y,x-y,z'
'-x+y,-x,z'
loop_
_atom_site_label
_atom_site_fract_x
_atom_site_fract_y
_atom_site_fract_z
_atom_site_occupancy
K1 0.0000 0.0000 0.0000 1
As1 0.6667 0.3333 0.3837 1
Pb1 0.3333 0.6667 0.5627 1
F1 0.0530 0.6485 0.2155 1
F2 0.4134 0.1292 0.6401 1
```